Diffraction record for Mg2V2O7. The XRD peak list is simulated, not measured: it uses DFT lattice parameters and positions (GGA+U) and CuKα.
Peak positions follow from Bragg's law for the DFT cell and can differ from measured ones.

Structural model:
```
data_Mg2V2O7
_space_group_name_H-M_alt 'P -1'
_space_group_IT_number 2
_cell_length_a 5.0442
_cell_length_b 5.4873
_cell_length_c 10.6694
_cell_angle_alpha 101.65
_cell_angle_beta 101.87
_cell_angle_gamma 98.86
loop_
_space_group_symop_operation_xyz
'x,y,z'
'-x,-y,-z'
loop_
_atom_site_label
_atom_site_type_symbol
_atom_site_fract_x
_atom_site_fract_y
_atom_site_fract_z
Mg1 Mg 0.0166 0.2932 0.0869
Mg2 Mg 0.0711 0.2876 0.5817
V1 V 0.3501 0.3006 0.8689
V2 V 0.4627 0.1471 0.3571
O1 O 0.1169 0.4512 0.7824
O2 O 0.1868 0.0728 0.9309
O3 O 0.2091 0.0558 0.4378
O4 O 0.2604 0.6197 0.5426
O5 O 0.2919 0.5730 0.0361
O6 O 0.3236 0.2624 0.2312
O7 O 0.4088 0.1307 0.7146
```

Peak list (10 most intense, 5 to 70 degrees two-theta, sorted by position)
2θ = 17.0°, I = 35, hkl 0 1 -1
2θ = 21.2°, I = 45, hkl 0 1 -2
2θ = 22.3°, I = 38, hkl 1 0 1
2θ = 23.8°, I = 47, hkl -1 1 1
2θ = 27.5°, I = 79, hkl 1 1 0
2θ = 27.6°, I = 97, hkl 1 1 -2
2θ = 28.2°, I = 100, hkl -1 1 2
2θ = 28.5°, I = 43, hkl 1 0 2
2θ = 28.8°, I = 72, hkl 1 -1 2
2θ = 53.7°, I = 33, hkl 2 2 -2